No. 1
# Rb2DyAgI6
Computed XRD peak list, Cu Kα. Input: a cell relaxed with GGA-PBE.
Lines closer than 0.1° are merged.

Main lines, by intensity (2θ from 10° to 80°):
(hkl)  2theta  I/Imax
2 2 -2  29.57  100
0 0 4  30.56  68
1 1 -1  14.66  65
3 1 -5  37.07  56
1 3 -5  45.32  44
1 0 2  25.17  43
1 3 -1  32.66  42
0 2 2  25.51  42
2 1 -3  24.75  36
2 2 2  42.99  32

Atomic structure:
```
data_Rb2DyAgI6
_symmetry_space_group_name_H-M 'P 1 21/c 1'
_symmetry_Int_Tables_number 14
_cell_length_a 8.3937
_cell_length_b 8.7026
_cell_length_c 14.3936
_cell_angle_alpha 90.00
_cell_angle_beta 125.60
_cell_angle_gamma 90.00
loop_
_symmetry_equiv_pos_as_xyz
'x,y,z'
'-x,-y,-z'
'-x,y+1/2,-z+1/2'
'x,-y+1/2,z+1/2'
loop_
_atom_site_label
_atom_site_type_symbol
_atom_site_fract_x
_atom_site_fract_y
_atom_site_fract_z
_atom_site_occupancy
Rb1 Rb 0.2289 0.0726 0.2508 1
Dy1 Dy 0.0000 0.0000 0.5000 1
Ag1 Ag 0.5000 0.0000 0.0000 1
I1 I 0.1550 0.2091 0.9598 1
I2 I 0.2507 0.6976 0.9573 1
I3 I 0.3379 0.0106 0.7534 1
```

=====

No. 2
# DyEr5Ir6
Computed XRD peak list, Cu Kα. Input: a cell relaxed with GGA-PBE.
Lines closer than 0.1° are merged.

Main lines, by intensity (2θ from 10° to 80°):
(hkl)  2theta  I/Imax
1 3 2  37.02  100
2 0 0  38.33  46
3 3 2  68.45  34
2 0 4  65.85  19
2 6 0  55.32  16
2 6 4  78.84  11
0 0 4  51.35  10
1 3 0  26.84  1

Atomic structure:
```
data_DyEr5Ir6
_symmetry_space_group_name_H-M 'C m m m'
_symmetry_Int_Tables_number 65
_symmetry_space_group_name_Hall '-C 2 2'
_cell_length_a 4.6938
_cell_length_b 14.1007
_cell_length_c 7.1176
_cell_angle_alpha 90.00
_cell_angle_beta 90.00
_cell_angle_gamma 90.00
loop_
_atom_site_label
_atom_site_type_symbol
_atom_site_fract_x
_atom_site_fract_y
_atom_site_fract_z
_atom_site_occupancy
Dy1 Dy 0.0000 0.0000 0.0000 1
Er1 Er 0.0000 0.0000 0.5000 1
Er2 Er 0.0000 0.3331 0.0000 1
Er3 Er 0.0000 0.3333 0.5000 1
Ir1 Ir 0.0000 0.1671 0.2508 1
Ir2 Ir 0.0000 0.5000 0.2516 1
```

=====

Question: Which formula does entry 1 have?
Answer: Rb2DyAgI6